Diffraction record for Ti3HgH. The powder XRD pattern is simulated, not measured: it uses a crystal structure in Alexandria, relaxed with PBE and Cu Kα X-rays.
Intensities are scaled so that the largest is 100.

Peak list (8 most intense, 2θ = 10–90°, by intensity)
- d = 2.301 Å, I 100
- d = 3.552 Å, I 64
- d = 2.169 Å, I 41
- d = 2.419 Å, I 39
- d = 2.870 Å, I 28
- d = 3.427 Å, I 25
- d = 1.777 Å, I 24
- d = 5.231 Å, I 23

Crystal structure
abc: 5.7619 5.7619 4.8384
angles: 90.00 90.00 114.80
Fractional positions:
Ti: 0.1392 0.8608 0.7500
Ti: 0.1831 0.3677 0.7524
Ti: 0.3677 0.1831 0.2476
Ti: 0.6323 0.8169 0.7476
Ti: 0.8169 0.6323 0.2524
Ti: 0.8608 0.1392 0.2500
Hg: 0.3264 0.6736 0.2500
Hg: 0.6736 0.3264 0.7500
H: 0.0937 0.0937 0.5000
H: 0.9063 0.9063 0.0000